Simulated PXRD pattern
Compound: B5W2
Radiation: Cu Kα (λ = 1.5418 Å)
Structure: a PBE-relaxed structure
Neutral-atom scattering factors, no anomalous dispersion.

Atomic structure:
Unit cell a=3.1017 b=3.1017 c=14.2897 alpha=90.00 beta=90.00 gamma=120.00
Fractional coordinates of all 14 atoms:
1 B 0.0000 0.0000 0.0000
2 B 0.0000 0.0000 0.2500
3 B 0.0000 0.0000 0.5000
4 B 0.0000 0.0000 0.7500
5 B 0.3333 0.6667 0.0268
6 B 0.3333 0.6667 0.2500
7 B 0.3333 0.6667 0.4732
8 B 0.6667 0.3333 0.5268
9 B 0.6667 0.3333 0.7500
10 B 0.6667 0.3333 0.9732
11 W 0.3333 0.6667 0.6350
12 W 0.3333 0.6667 0.8650
13 W 0.6667 0.3333 0.1350
14 W 0.6667 0.3333 0.3650

Most intense lines, 2θ = 10–90°, in order of rising 2θ:
2θ 24.92, 3.572 Å, I 68.0; 2θ 33.36, 2.686 Å, I 32.2; 2θ 33.96, 2.640 Å, I 100.0; 2θ 38.48, 2.340 Å, I 43.5; 2θ 42.09, 2.147 Å, I 35.7; 2θ 46.39, 1.957 Å, I 72.1; 2θ 59.62, 1.551 Å, I 30.8; 2θ 65.63, 1.423 Å, I 30.7; 2θ 68.67, 1.367 Å, I 21.8; 2θ 82.34, 1.171 Å, I 18.5

---

Simulated PXRD pattern
Compound: Pr3IrBr3
Radiation: Cu Kα (λ = 1.5418 Å)
Structure: a PBE-relaxed structure
Neutral-atom scattering factors, no anomalous dispersion.

Atomic structure:
Unit cell a=10.5740 b=10.5740 c=10.5740 alpha=109.47 beta=109.47 gamma=109.47
Fractional coordinates of all 28 atoms:
1 Pr 0.0163 0.0325 0.2663
2 Pr 0.0163 0.4837 0.7500
3 Pr 0.0325 0.2663 0.0163
4 Pr 0.2337 0.2663 0.7500
5 Pr 0.2337 0.4675 0.4837
6 Pr 0.2663 0.0163 0.0325
7 Pr 0.2663 0.7500 0.2337
8 Pr 0.4675 0.4837 0.2337
9 Pr 0.4837 0.2337 0.4675
10 Pr 0.4837 0.7500 0.0163
11 Pr 0.7500 0.0163 0.4837
12 Pr 0.7500 0.2337 0.2663
13 Ir 0.0000 0.2500 0.5000
14 Ir 0.2500 0.2500 0.2500
15 Ir 0.2500 0.5000 0.0000
16 Ir 0.5000 0.0000 0.2500
17 Br 0.2500 0.7551 0.7449
18 Br 0.2500 0.9949 0.5051
19 Br 0.5051 0.2500 0.9949
20 Br 0.5051 0.7551 0.5102
21 Br 0.5102 0.5051 0.7551
22 Br 0.7449 0.2500 0.7551
23 Br 0.7449 0.9949 0.9898
24 Br 0.7551 0.5102 0.5051
25 Br 0.7551 0.7449 0.2500
26 Br 0.9898 0.7449 0.9949
27 Br 0.9949 0.5051 0.2500
28 Br 0.9949 0.9898 0.7449

Most intense lines, 2θ = 10–90°, in order of rising 2θ:
2θ 10.25, 8.634 Å, I 67.2; 2θ 23.03, 3.861 Å, I 10.8; 2θ 29.26, 3.052 Å, I 100.0; 2θ 31.08, 2.878 Å, I 9.5; 2θ 37.56, 2.395 Å, I 15.6; 2θ 41.85, 2.158 Å, I 71.2; 2θ 51.88, 1.762 Å, I 23.9; 2θ 60.68, 1.526 Å, I 10.5; 2θ 68.77, 1.365 Å, I 27.3; 2θ 76.43, 1.246 Å, I 19.2

---

Simulated PXRD pattern
Compound: K3Mn
Radiation: Cu Kα (λ = 1.5418 Å)
Structure: a PBE-relaxed structure
Neutral-atom scattering factors, no anomalous dispersion.

Atomic structure:
Unit cell a=6.9989 b=6.9989 c=6.9989 alpha=129.85 beta=129.85 gamma=73.65
Fractional coordinates of all 4 atoms:
1 K 0.0000 0.0000 0.0000
2 K 0.2500 0.7500 0.5000
3 K 0.7500 0.2500 0.5000
4 Mn 0.5000 0.5000 0.0000

Most intense lines, 2θ = 10–90°, in order of rising 2θ:
2θ 26.54, 3.358 Å, I 100.0; 2θ 30.13, 2.966 Å, I 35.3; 2θ 31.95, 2.801 Å, I 14.9; 2θ 43.13, 2.098 Å, I 12.2; 2θ 44.49, 2.037 Å, I 21.7; 2θ 51.36, 1.779 Å, I 27.1; 2θ 53.73, 1.706 Å, I 11.7; 2θ 54.67, 1.679 Å, I 11.0; 2θ 71.25, 1.324 Å, I 9.1; 2θ 80.03, 1.199 Å, I 6.4

---

Simulated PXRD pattern
Compound: KTeO4
Radiation: Cu Kα (λ = 1.5418 Å)
Structure: a PBE-relaxed structure
Neutral-atom scattering factors, no anomalous dispersion.

Atomic structure:
Unit cell a=7.8435 b=6.8208 c=17.2092 alpha=90.00 beta=92.30 gamma=90.00
Fractional coordinates of all 48 atoms:
1 K 0.0848 0.0458 0.3994
2 K 0.0848 0.4542 0.8994
3 K 0.3919 0.5884 0.2940
4 K 0.3919 0.9116 0.7940
5 K 0.6081 0.0884 0.2060
6 K 0.6081 0.4116 0.7060
7 K 0.9152 0.5458 0.1006
8 K 0.9152 0.9542 0.6006
9 Te 0.2014 0.5026 0.5127
10 Te 0.2014 0.9974 0.0127
11 Te 0.4270 0.0235 0.5872
12 Te 0.4270 0.4765 0.0872
13 Te 0.5730 0.5235 0.9128
14 Te 0.5730 0.9765 0.4128
15 Te 0.7986 0.0026 0.9873
16 Te 0.7986 0.4974 0.4873
17 O 0.0085 0.1820 0.0215
18 O 0.0085 0.3180 0.5215
19 O 0.0442 0.5642 0.7324
20 O 0.0442 0.9358 0.2324
21 O 0.0701 0.0783 0.1903
22 O 0.0701 0.4217 0.6903
23 O 0.2539 0.6109 0.1352
24 O 0.2539 0.8891 0.6352
25 O 0.2591 0.0780 0.9152
26 O 0.2591 0.4220 0.4152
27 O 0.3510 0.2143 0.0869
28 O 0.3510 0.2857 0.5869
29 O 0.3705 0.6009 0.9862
30 O 0.3705 0.8991 0.4862
31 O 0.4061 0.5128 0.8328
32 O 0.4061 0.9872 0.3328
33 O 0.5939 0.0128 0.6672
34 O 0.5939 0.4872 0.1672
35 O 0.6295 0.1009 0.5138
36 O 0.6295 0.3991 0.0138
37 O 0.6490 0.7143 0.4131
38 O 0.6490 0.7857 0.9131
39 O 0.7409 0.5780 0.5848
40 O 0.7409 0.9220 0.0848
41 O 0.7461 0.1109 0.3648
42 O 0.7461 0.3891 0.8648
43 O 0.9299 0.5783 0.3097
44 O 0.9299 0.9217 0.8097
45 O 0.9558 0.0642 0.7676
46 O 0.9558 0.4358 0.2676
47 O 0.9915 0.6820 0.4785
48 O 0.9915 0.8180 0.9785

Most intense lines, 2θ = 10–90°, in order of rising 2θ:
2θ 10.29, 8.598 Å, I 100.0; 2θ 17.86, 4.965 Å, I 21.7; 2θ 18.13, 4.894 Å, I 46.9; 2θ 20.24, 4.388 Å, I 22.4; 2θ 26.13, 3.410 Å, I 46.4; 2θ 26.92, 3.311 Å, I 66.7; 2θ 29.08, 3.071 Å, I 58.3; 2θ 30.24, 2.956 Å, I 18.6; 2θ 31.06, 2.879 Å, I 23.9; 2θ 39.66, 2.273 Å, I 22.0

---

Simulated PXRD pattern
Compound: LaNi4Rh
Radiation: Cu Kα (λ = 1.5418 Å)
Structure: a PBE-relaxed structure
Neutral-atom scattering factors, no anomalous dispersion.

Atomic structure:
Unit cell a=5.1589 b=5.1589 c=3.9852 alpha=90.00 beta=90.00 gamma=122.70
Fractional coordinates of all 6 atoms:
1 La 0.0000 0.0000 0.0000
2 Ni 0.0000 0.5000 0.5000
3 Ni 0.3243 0.6757 0.0000
4 Ni 0.5000 0.0000 0.5000
5 Ni 0.6757 0.3243 0.0000
6 Rh 0.5000 0.5000 0.5000

Most intense lines, 2θ = 10–90°, in order of rising 2θ:
2θ 30.45, 2.936 Å, I 58.3; 2θ 36.32, 2.473 Å, I 15.8; 2θ 39.82, 2.264 Å, I 23.3; 2θ 41.61, 2.171 Å, I 32.0; 2θ 41.75, 2.164 Å, I 100.0; 2θ 43.04, 2.102 Å, I 28.2; 2θ 45.52, 1.993 Å, I 35.5; 2θ 63.36, 1.468 Å, I 17.9; 2θ 69.05, 1.360 Å, I 21.4; 2θ 73.51, 1.288 Å, I 15.5

---

Simulated PXRD pattern
Compound: Ba2NdMgCu3O7
Radiation: Cu Kα (λ = 1.5418 Å)
Structure: a PBE-relaxed structure
Neutral-atom scattering factors, no anomalous dispersion.

Atomic structure:
Unit cell a=3.7782 b=3.9881 c=14.5502 alpha=90.00 beta=90.00 gamma=90.00
Fractional coordinates of all 14 atoms:
1 Ba 0.0000 0.0000 0.0000
2 Ba 0.0000 0.0000 0.3056
3 Nd 0.0000 0.0000 0.7404
4 Mg 0.0000 0.5000 0.4939
5 Cu 0.5000 0.5000 0.1558
6 Cu 0.5000 0.5000 0.6326
7 Cu 0.5000 0.5000 0.8620
8 O 0.0000 0.5000 0.6272
9 O 0.0000 0.5000 0.8365
10 O 0.5000 0.0000 0.1930
11 O 0.5000 0.0000 0.6389
12 O 0.5000 0.0000 0.8518
13 O 0.5000 0.5000 0.0234
14 O 0.5000 0.5000 0.4272

Most intense lines, 2θ = 10–90°, in order of rising 2θ:
2θ 28.99, 3.080 Å, I 60.9; 2θ 29.98, 2.981 Å, I 50.5; 2θ 32.65, 2.743 Å, I 100.0; 2θ 33.32, 2.689 Å, I 81.2; 2θ 34.22, 2.620 Å, I 82.5; 2θ 37.68, 2.387 Å, I 32.6; 2θ 45.48, 1.994 Å, I 43.1; 2θ 48.17, 1.889 Å, I 31.5; 2θ 55.46, 1.657 Å, I 55.5; 2θ 58.13, 1.587 Å, I 34.5